Calculated X-ray powder pattern
Compound: Dy15Fe8C26
Radiation: a wavelength of 1.5418 Å
Structure: the PBE geometry in OQMD

Principal peaks in the range 5° ≤ 2θ ≤ 70°, by angle:
2θ (°), d [Å], I_rel, h k l
28.73, 3.107, 100.0, 2 1 1
30.03, 2.976, 30.8, 2 2 0
31.29, 2.859, 34.3, 0 3 1
34.83, 2.576, 28.1, 0 0 2
35.95, 2.498, 57.5, 0 1 2
38.06, 2.365, 35.4, 3 2 0
39.09, 2.305, 19.0, 4 0 1
42.06, 2.148, 30.5, 2 1 2
52.54, 1.742, 27.9, 2 3 2
58.76, 1.571, 38.7, 2 5 1

Cell and atoms:
abc: 11.9043 11.9043 5.1479
angles: 90.00 90.00 120.00
Space group P321 (No. 150)
Inequivalent atoms, fractional coordinates:
1 Dy 0.0000 0.8327 0.0000 x3
2 Dy 0.1164 0.4034 0.2454 x6
3 Dy 0.1441 0.6297 0.7426 x6
4 Fe 0.0000 0.1276 0.5000 x3
5 Fe 0.0000 0.7426 0.5000 x3
6 Fe 0.3333 0.6667 0.2309 x2
7 C 0.0000 0.0000 0.2730 x2
8 C 0.0787 0.6794 0.2699 x6
9 C 0.1202 0.2989 0.6723 x6
10 C 0.1252 0.4145 0.7342 x6
11 C 0.1674 0.6404 0.2408 x6


Calculated X-ray powder pattern
Compound: GdDyFe2Si2C
Radiation: a wavelength of 1.5418 Å
Structure: the PBE geometry in OQMD

Principal peaks in the range 5° ≤ 2θ ≤ 70°, by angle:
2θ (°), d [Å], I_rel, h k l
25.11, 3.546, 51.2, 1 1 0
26.31, 3.388, 25.1, 2 0 -2
34.32, 2.613, 97.7, 3 1 -1
35.55, 2.526, 48.7, 4 0 -1
36.67, 2.450, 100.0, 1 1 -2
40.28, 2.239, 24.9, 3 1 0
41.51, 2.175, 22.5, 4 0 -3
46.12, 1.968, 27.2, 0 2 0
52.23, 1.751, 19.9, 3 1 1
59.55, 1.552, 21.6, 4 2 -1

Cell and atoms:
abc: 10.594 3.937 6.775
angles: 90.00 129.58 90.00
Space group Cm (No. 8)
Inequivalent atoms, fractional coordinates:
1 Gd 0.000 0.000 0.000 x2
2 Dy 0.381 0.500 0.412 x2
3 Fe 0.140 0.500 0.799 x2
4 Fe 0.239 0.000 0.610 x2
5 Si 0.102 0.500 0.424 x2
6 Si 0.277 0.000 0.987 x2
7 C 0.439 0.000 0.702 x2


Calculated X-ray powder pattern
Compound: DyHoFe2Ge2C
Radiation: a wavelength of 1.5418 Å
Structure: the PBE geometry in OQMD

Principal peaks in the range 5° ≤ 2θ ≤ 70°, by angle:
2θ (°), d [Å], I_rel, h k l
24.90, 3.576, 39.4, 1 1 0
33.75, 2.655, 85.3, 0 0 2
34.05, 2.633, 62.3, 3 1 -1
35.10, 2.557, 47.5, 4 0 -1
36.34, 2.472, 100.0, 1 1 -2
36.61, 2.454, 49.6, 3 1 -2
39.63, 2.274, 61.7, 3 1 0
41.49, 2.176, 38.4, 4 0 -3
45.84, 1.980, 47.5, 0 2 0
65.78, 1.420, 28.2, 7 1 -3

Cell and atoms:
abc: 10.667 3.959 6.796
angles: 90.00 128.60 90.00
Space group Cm (No. 8)
Inequivalent atoms, fractional coordinates:
1 Dy 0.000 0.000 0.000 x2
2 Ho 0.385 0.500 0.423 x2
3 Fe 0.138 0.500 0.800 x2
4 Fe 0.246 0.000 0.621 x2
5 Ge 0.105 0.500 0.420 x2
6 Ge 0.280 0.000 0.002 x2
7 C 0.442 0.000 0.710 x2


Calculated X-ray powder pattern
Compound: DyScFe2Ge2C
Radiation: a wavelength of 1.5418 Å
Structure: the PBE geometry in OQMD

Principal peaks in the range 5° ≤ 2θ ≤ 70°, by angle:
2θ (°), d [Å], I_rel, h k l
16.94, 5.235, 35.3, 0 0 1
26.49, 3.365, 37.4, 1 1 -1
34.22, 2.620, 84.5, 0 0 2
34.54, 2.596, 64.8, 3 1 -1
35.52, 2.527, 45.9, 4 0 -1
36.97, 2.431, 100.0, 1 1 -2
37.29, 2.411, 41.4, 3 1 -2
40.08, 2.249, 84.8, 3 1 0
42.36, 2.134, 48.5, 4 0 -3
46.58, 1.950, 52.0, 0 2 0

Cell and atoms:
abc: 10.512 3.900 6.662
angles: 90.00 128.19 90.00
Space group Cm (No. 8)
Inequivalent atoms, fractional coordinates:
1 Dy 0.000 0.000 0.000 x2
2 Sc 0.387 0.500 0.429 x2
3 Fe 0.138 0.500 0.800 x2
4 Fe 0.243 0.000 0.618 x2
5 Ge 0.102 0.500 0.415 x2
6 Ge 0.283 0.000 0.013 x2
7 C 0.438 0.000 0.700 x2


Calculated X-ray powder pattern
Compound: DyYFe2Ge2C
Radiation: a wavelength of 1.5418 Å
Structure: the PBE geometry in OQMD

Principal peaks in the range 5° ≤ 2θ ≤ 70°, by angle:
2θ (°), d [Å], I_rel, h k l
33.60, 2.667, 90.8, 0 0 2
33.97, 2.639, 63.4, 3 1 -1
35.05, 2.560, 47.9, 4 0 -1
36.18, 2.483, 100.0, 1 1 -2
36.52, 2.461, 48.2, 3 1 -2
39.51, 2.281, 76.1, 3 1 0
41.38, 2.182, 44.9, 4 0 -3
45.67, 1.986, 52.6, 0 2 0
58.86, 1.569, 26.8, 4 2 -1
65.67, 1.422, 30.5, 7 1 -3

Cell and atoms:
abc: 10.679 3.973 6.821
angles: 90.00 128.50 90.00
Space group Cm (No. 8)
Inequivalent atoms, fractional coordinates:
1 Dy 0.000 0.000 0.000 x2
2 Y 0.385 0.500 0.421 x2
3 Fe 0.139 0.500 0.801 x2
4 Fe 0.247 0.000 0.622 x2
5 Ge 0.106 0.500 0.422 x2
6 Ge 0.279 0.000 0.000 x2
7 C 0.443 0.000 0.712 x2


Calculated X-ray powder pattern
Compound: SrDyFe2Si2C
Radiation: a wavelength of 1.5418 Å
Structure: the PBE geometry in OQMD

Principal peaks in the range 5° ≤ 2θ ≤ 70°, by angle:
2θ (°), d [Å], I_rel, h k l
24.70, 3.604, 48.3, 1 1 0
33.51, 2.674, 36.3, 1 1 1
33.69, 2.660, 100.0, 3 1 -1
34.64, 2.590, 32.2, 2 0 1
34.93, 2.568, 28.5, 4 0 -1
35.63, 2.520, 99.0, 1 1 -2
39.55, 2.279, 42.3, 3 1 0
40.19, 2.244, 28.7, 4 0 -3
45.36, 1.999, 37.6, 0 2 0
58.46, 1.579, 27.8, 3 1 -4

Cell and atoms:
abc: 10.817 3.998 7.014
angles: 90.00 129.73 90.00
Space group Cm (No. 8)
Inequivalent atoms, fractional coordinates:
1 Sr 0.000 0.000 0.000 x2
2 Dy 0.380 0.500 0.406 x2
3 Fe 0.127 0.500 0.775 x2
4 Fe 0.235 0.000 0.598 x2
5 Si 0.107 0.500 0.433 x2
6 Si 0.260 0.000 0.952 x2
7 C 0.429 0.000 0.675 x2


Calculated X-ray powder pattern
Compound: GdDyPbC
Radiation: a wavelength of 1.5418 Å
Structure: the PBE geometry in OQMD

Principal peaks in the range 5° ≤ 2θ ≤ 70°, by angle:
2θ (°), d [Å], I_rel, h k l
28.19, 3.166, 22.4, 1 0 0
32.76, 2.734, 100.0, 1 0 3
33.06, 2.709, 20.8, 0 0 6
43.99, 2.058, 16.0, 1 0 6
49.89, 1.828, 21.5, 1 1 0
58.29, 1.583, 3.1, 2 0 0
58.86, 1.569, 19.0, 1 0 9
60.98, 1.519, 17.1, 2 0 3
61.17, 1.515, 22.0, 1 1 6
68.67, 1.367, 4.3, 2 0 6

Cell and atoms:
abc: 3.6556 3.6556 16.2561
angles: 90.00 90.00 120.00
Space group P6_3mc (No. 186)
Inequivalent atoms, fractional coordinates:
1 Gd 0.3333 0.6667 0.0000 x2
2 Dy 0.3333 0.6667 0.6655 x2
3 Pb 0.3333 0.6667 0.3319 x2
4 C 0.0000 0.0000 0.0839 x2


Calculated X-ray powder pattern
Compound: Dy5Ge3C
Radiation: a wavelength of 1.5418 Å
Structure: the PBE geometry in OQMD

Principal peaks in the range 5° ≤ 2θ ≤ 70°, by angle:
2θ (°), d [Å], I_rel, h k l
30.18, 2.961, 35.7, 1 0 2
32.13, 2.786, 43.0, 2 1 0
34.84, 2.575, 66.3, 1 1 2
35.07, 2.559, 100.0, 2 1 1
36.57, 2.457, 19.1, 3 0 0
44.84, 2.021, 10.9, 2 2 1
51.40, 1.778, 20.1, 2 2 2
53.76, 1.705, 29.5, 2 1 3
57.27, 1.609, 18.9, 4 1 0
57.56, 1.601, 16.5, 4 0 2

Cell and atoms:
abc: 8.5120 8.5120 6.4678
angles: 90.00 90.00 120.00
Space group P6_3/mcm (No. 193)
Inequivalent atoms, fractional coordinates:
1 Dy 0.0000 0.2211 0.2500 x6
2 Dy 0.3333 0.6667 0.0000 x4
3 Ge 0.0000 0.4096 0.7500 x6
4 C 0.0000 0.0000 0.0000 x2